This entry pairs a crystal structure of Rb2Tl3Br5 with its theoretical PXRD pattern. Radiation: Cu Kα. Structure: a structure optimized by DFT (PBE).
No peak broadening, texture or thermal motion is included.

The 10 most intense peaks (2θ = 10–80°), in order of rising 2θ:
d/Å	I_rel
8.574	36
3.831	36
3.528	100
3.273	59
2.708	21
2.413	34
2.387	28
2.362	28
2.161	22
1.915	26

Structure:
```
10
Lattice="8.6571 -2.3617 0.0000 8.6571 2.3617 0.0000 -7.2529 0.0000 10.0339" Properties=species:S:1:pos:R:3 pbc="T T T"
Rb 0.9818 0.0000 2.6857
Rb 9.0796 0.0000 7.3482
Tl -3.6264 0.0000 5.0170
Tl 5.7487 0.0000 1.3146
Tl 4.3127 0.0000 8.7193
Br -2.1983 0.0000 8.0400
Br 2.6859 0.0000 5.8544
Br 8.6571 0.0000 0.0000
Br 7.3755 0.0000 4.1795
Br 12.2597 0.0000 1.9939
```